Entry 1:
Computed X-ray diffraction stick pattern of Cs2RbInF6 for CuKα, from DFT lattice parameters and positions (PBE).

```
data_Cs2RbInF6
_space_group_name_H-M_alt 'F m -3 m'
_space_group_IT_number 225
_space_group_name_Hall '-F 4 2 3'
_cell_length_a 9.6385
_cell_length_b 9.6385
_cell_length_c 9.6385
_cell_angle_alpha 90.00
_cell_angle_beta 90.00
_cell_angle_gamma 90.00
loop_
_atom_site_label
_atom_site_fract_x
_atom_site_fract_y
_atom_site_fract_z
Cs1 0.2500 0.2500 0.2500
Rb1 0.0000 0.0000 0.0000
In1 0.0000 0.0000 0.5000
F1 0.0000 0.0000 0.2806
```

Most intense lines, 10 to 80 degrees two-theta, sorted by position:
- 2θ 26.15, d 3.408, I = 100
- 2θ 37.32, d 2.410, I = 34
- 2θ 46.14, d 1.967, I = 40
- 2θ 53.80, d 1.704, I = 22
- 2θ 60.78, d 1.524, I = 20
- 2θ 73.53, d 1.288, I = 23

---

Entry 2:
Computed X-ray diffraction stick pattern of Ga2S3O12 for CuKα, from DFT lattice parameters and positions (PBE).

```
data_Ga2S3O12
_space_group_name_H-M_alt 'R -3'
_space_group_IT_number 148
_space_group_name_Hall '-R 3'
_cell_length_a 8.1924
_cell_length_b 8.1924
_cell_length_c 22.2044
_cell_angle_alpha 90.00
_cell_angle_beta 90.00
_cell_angle_gamma 120.00
loop_
_atom_site_label
_atom_site_fract_x
_atom_site_fract_y
_atom_site_fract_z
Ga1 0.0000 0.0000 0.1438
Ga2 0.0000 0.0000 0.3494
S1 0.0017 0.7102 0.7495
O1 0.0099 0.2068 0.1927
O2 0.0381 0.8310 0.0894
O3 0.0834 0.8556 0.7013
O4 0.0846 0.8588 0.4009
```

Most intense lines, 10 to 80 degrees two-theta, sorted by position:
- 2θ 14.82, d 5.978, I = 66
- 2θ 20.31, d 4.372, I = 81
- 2θ 21.70, d 4.096, I = 33
- 2θ 24.84, d 3.584, I = 100
- 2θ 29.89, d 2.989, I = 57
- 2θ 32.61, d 2.746, I = 69

---

Entry 3:
Computed X-ray diffraction stick pattern of Sb2Se3 for CuKα, from DFT lattice parameters and positions (PBE).

```
data_Sb2Se3
_space_group_name_H-M_alt 'P n m a'
_space_group_IT_number 62
_space_group_name_Hall '-P 2ac 2n'
_cell_length_a 13.0502
_cell_length_b 3.9642
_cell_length_c 14.3109
_cell_angle_alpha 90.00
_cell_angle_beta 90.00
_cell_angle_gamma 90.00
loop_
_atom_site_label
_atom_site_fract_x
_atom_site_fract_y
_atom_site_fract_z
Sb1 0.1064 0.2500 0.2371
Sb2 0.1543 0.7500 0.6148
Se1 0.0402 0.7500 0.3528
Se2 0.2053 0.7500 0.7921
Se3 0.2144 0.7500 0.0678
```

Most intense lines, 10 to 80 degrees two-theta, sorted by position:
- 2θ 12.37, d 7.155, I = 100
- 2θ 14.12, d 6.274, I = 92
- 2θ 23.28, d 3.820, I = 75
- 2θ 28.05, d 3.181, I = 61
- 2θ 36.53, d 2.460, I = 80
- 2θ 45.81, d 1.981, I = 75

---

Entry 4:
Computed X-ray diffraction stick pattern of CsK2InCl6 for CuKα, from DFT lattice parameters and positions (PBE).

```
data_CsK2InCl6
_space_group_name_H-M_alt 'F m -3 m'
_space_group_IT_number 225
_space_group_name_Hall '-F 4 2 3'
_cell_length_a 11.5321
_cell_length_b 11.5321
_cell_length_c 11.5321
_cell_angle_alpha 90.00
_cell_angle_beta 90.00
_cell_angle_gamma 90.00
loop_
_atom_site_label
_atom_site_fract_x
_atom_site_fract_y
_atom_site_fract_z
Cs1 0.0000 0.0000 0.0000
K1 0.2500 0.2500 0.2500
In1 0.0000 0.0000 0.5000
Cl1 0.0000 0.0000 0.2796
```

Most intense lines, 10 to 80 degrees two-theta, sorted by position:
- 2θ 15.37, d 5.766, I = 95
- 2θ 21.80, d 4.077, I = 100
- 2θ 31.02, d 2.883, I = 81
- 2θ 34.79, d 2.579, I = 42
- 2θ 38.23, d 2.354, I = 40
- 2θ 44.44, d 2.039, I = 52

---

Entry 5:
Computed X-ray diffraction stick pattern of W21S8 for CuKα, from DFT lattice parameters and positions (PBE).

```
data_W21S8
_space_group_name_H-M_alt 'I 4/m'
_space_group_IT_number 87
_space_group_name_Hall '-I 4'
_cell_length_a 16.7248
_cell_length_b 16.7248
_cell_length_c 3.1206
_cell_angle_alpha 90.00
_cell_angle_beta 90.00
_cell_angle_gamma 90.00
loop_
_atom_site_label
_atom_site_fract_x
_atom_site_fract_y
_atom_site_fract_z
W1 0.0000 0.0000 0.0000
W2 0.0140 0.2787 0.0000
W3 0.0493 0.4214 0.5000
W4 0.0583 0.8444 0.5000
W5 0.1205 0.6877 0.5000
W6 0.1921 0.1977 0.0000
S1 0.0600 0.1346 0.0000
S2 0.1272 0.2856 0.5000
```

Most intense lines, 10 to 80 degrees two-theta, sorted by position:
- 2θ 33.90, d 2.644, I = 27
- 2θ 34.64, d 2.589, I = 29
- 2θ 38.04, d 2.365, I = 35
- 2θ 39.49, d 2.282, I = 75
- 2θ 41.00, d 2.201, I = 100
- 2θ 41.10, d 2.196, I = 49

---

Entry 6:
Computed X-ray diffraction stick pattern of CrFe4 for CuKα, from DFT lattice parameters and positions (PBE).

```
data_CrFe4
_space_group_name_H-M_alt 'F m m m'
_space_group_IT_number 69
_space_group_name_Hall '-F 2 2'
_cell_length_a 2.8508
_cell_length_b 3.9943
_cell_length_c 20.1113
_cell_angle_alpha 90.00
_cell_angle_beta 90.00
_cell_angle_gamma 90.00
loop_
_atom_site_label
_atom_site_fract_x
_atom_site_fract_y
_atom_site_fract_z
Cr1 0.0000 0.0000 0.0000
Fe1 0.0000 0.0000 0.1998
Fe2 0.0000 0.0000 0.4004
```

Most intense lines, 10 to 80 degrees two-theta, sorted by position:
- 2θ 45.10, d 2.010, I = 100
- 2θ 45.41, d 1.997, I = 20
- 2θ 65.48, d 1.425, I = 6
- 2θ 65.91, d 1.417, I = 12

---

Entry 7:
Computed X-ray diffraction stick pattern of ZrBr for CuKα, from DFT lattice parameters and positions (PBE).

```
data_ZrBr
_space_group_name_H-M_alt 'P -3 m 1'
_space_group_IT_number 164
_space_group_name_Hall '-P 3 2"'
_cell_length_a 3.4513
_cell_length_b 3.4513
_cell_length_c 10.0364
_cell_angle_alpha 90.00
_cell_angle_beta 90.00
_cell_angle_gamma 120.00
loop_
_atom_site_label
_atom_site_fract_x
_atom_site_fract_y
_atom_site_fract_z
Zr1 0.3333 0.6667 0.1232
Br1 0.3333 0.6667 0.6825
```

Most intense lines, 10 to 80 degrees two-theta, sorted by position:
- 2θ 29.89, d 2.989, I = 32
- 2θ 34.94, d 2.568, I = 100
- 2θ 40.47, d 2.229, I = 23
- 2θ 47.30, d 1.922, I = 16
- 2θ 53.07, d 1.726, I = 24
- 2θ 65.12, d 1.432, I = 16

---

Entry 8:
Computed X-ray diffraction stick pattern of Ba2PrTiO6 for CuKα, from DFT lattice parameters and positions (PBE).

```
data_Ba2PrTiO6
_space_group_name_H-M_alt 'P n -3'
_space_group_IT_number 201
_cell_length_a 8.6419
_cell_length_b 8.6419
_cell_length_c 8.6419
_cell_angle_alpha 90.00
_cell_angle_beta 90.00
_cell_angle_gamma 90.00
loop_
_space_group_symop_operation_xyz
'x,y,z'
'-x,-y,-z'
'-x+1/2,-y+1/2,z'
'x+1/2,y+1/2,-z'
'x,-y+1/2,-z+1/2'
'-x,y+1/2,z+1/2'
'-x+1/2,y,-z+1/2'
'x+1/2,-y,z+1/2'
'z,x,y'
'-z,-x,-y'
'z,-x+1/2,-y+1/2'
'-z,x+1/2,y+1/2'
'-z+1/2,x,-y+1/2'
'z+1/2,-x,y+1/2'
'-z+1/2,-x+1/2,y'
'z+1/2,x+1/2,-y'
'y,z,x'
'-y,-z,-x'
'-y+1/2,z,-x+1/2'
'y+1/2,-z,x+1/2'
'-y+1/2,-z+1/2,x'
'y+1/2,z+1/2,-x'
'y,-z+1/2,-x+1/2'
'-y,z+1/2,x+1/2'
loop_
_atom_site_label
_atom_site_fract_x
_atom_site_fract_y
_atom_site_fract_z
Ba1 0.2500 0.2500 0.2500
Ba2 0.2500 0.2500 0.7500
Pr1 0.0000 0.0000 0.0000
Ti1 0.0000 0.0000 0.5000
O1 0.0112 0.5119 0.7710
```

Most intense lines, 10 to 80 degrees two-theta, sorted by position:
- 2θ 17.78, d 4.989, I = 8
- 2θ 29.23, d 3.055, I = 100
- 2θ 41.81, d 2.160, I = 31
- 2θ 51.83, d 1.764, I = 40
- 2θ 60.61, d 1.528, I = 19
- 2θ 68.69, d 1.366, I = 18